Mg2H3: simulated XRD peak list (Cu Kα (λ = 1.5418 Å)), based on DFT lattice parameters and positions (PBE).
Neutral-atom scattering factors, no anomalous dispersion.

Structure:
```
data_Mg2H3
_cell_length_a 10.671
_cell_length_b 4.748
_cell_length_c 4.326
_cell_angle_alpha 90.00
_cell_angle_beta 113.76
_cell_angle_gamma 90.00
_space_group_name_H-M_alt 'C 1 2/c 1'
_space_group_IT_number 15
_space_group_name_Hall '-C 2yc'
loop_
_atom_site_label
_atom_site_fract_x
_atom_site_fract_y
_atom_site_fract_z
Mg1 0.119 0.235 0.118
H1 0.000 0.499 0.250
H2 0.188 0.165 0.689
```

Main lines, in order of falling intensity (2θ = 10–90°):
2θ/deg	d_spacing	Rel. int.
33.46	2.678	100.0
33.53	2.673	98.2
36.81	2.442	38.0
37.90	2.374	36.5
41.76	2.163	29.9
53.87	1.702	25.6
65.66	1.422	25.5
57.65	1.599	21.7
64.27	1.449	14.6
64.15	1.452	14.6